1.
Ca3Ge2Au3: computed powder diffraction line list (copper Kα), based on a cell relaxed with GGA-PBE.

Largest 10 diffraction maxima, by angle, 15 to 90 degrees two-theta:
- 2θ 18.7, I = 50
- 2θ 22.5, I = 82
- 2θ 22.6, I = 41
- 2θ 25.3, I = 45
- 2θ 32.0, I = 68
- 2θ 32.2, I = 84
- 2θ 35.6, I = 55
- 2θ 37.5, I = 66
- 2θ 39.6, I = 100
- 2θ 44.5, I = 56

```
Ca3Ge2Au3
1.0
7.856 0.000 0.000
0.000 15.761 0.000
0.000 0.000 5.976
Ca Ge Au
12 8 12
Cartesian
0.187 1.693 0.830
0.187 6.187 0.830
1.278 3.940 3.719
2.650 11.821 0.731
3.741 9.574 3.818
3.741 14.068 3.818
4.115 1.693 2.157
4.115 6.187 2.157
5.206 3.940 5.244
6.578 11.821 2.257
7.669 9.574 5.145
7.669 14.068 5.145
0.971 9.613 2.155
0.971 14.028 2.155
2.957 1.733 5.143
2.957 6.148 5.143
4.898 9.613 0.833
4.898 14.028 0.833
6.885 1.733 3.821
6.885 6.148 3.821
1.422 0.494 3.513
1.422 7.386 3.513
1.544 11.821 3.763
2.384 3.940 0.775
2.506 8.375 0.525
2.506 15.267 0.525
5.350 0.494 5.450
5.350 7.386 5.450
5.472 11.821 5.200
6.312 3.940 2.212
6.433 8.375 2.462
6.433 15.267 2.462
```


2.
Sm2Dy4Tm3: computed powder diffraction line list (copper Kα), based on a cell relaxed with GGA-PBE.

Largest 10 diffraction maxima, by angle, 15 to 90 degrees two-theta:
- 2θ 30.3, I = 63
- 2θ 30.9, I = 47
- 2θ 31.2, I = 60
- 2θ 32.0, I = 100
- 2θ 37.6, I = 33
- 2θ 38.4, I = 27
- 2θ 50.3, I = 14
- 2θ 52.2, I = 13
- 2θ 56.4, I = 21
- 2θ 58.4, I = 13

```
Sm2Dy4Tm3
1.0
8.024 -5.788 0.000
8.024 5.788 0.000
-0.630 0.000 6.093
Sm Dy Tm
4 8 6
Cartesian
5.658 4.114 4.136
9.444 4.114 5.004
5.973 -4.114 1.089
9.759 -4.114 1.958
2.914 1.623 5.164
6.646 1.638 6.009
3.229 -1.623 2.118
8.456 1.638 3.131
6.961 -1.638 2.963
12.188 1.623 3.976
8.771 -1.638 0.084
12.503 -1.623 0.929
7.866 4.656 1.523
5.106 1.131 2.501
4.791 -1.131 5.548
10.626 1.131 0.545
10.311 -1.131 3.592
7.551 -4.656 4.570
```


3.
Na2ZnGa: computed powder diffraction line list (copper Kα), based on a cell relaxed with GGA-PBE.

Largest 10 diffraction maxima, by angle, 15 to 90 degrees two-theta:
- 2θ 15.3, I = 33
- 2θ 18.7, I = 92
- 2θ 22.4, I = 53
- 2θ 30.7, I = 28
- 2θ 35.0, I = 100
- 2θ 36.4, I = 59
- 2θ 38.0, I = 54
- 2θ 41.2, I = 41
- 2θ 45.6, I = 54
- 2θ 57.2, I = 23

```
Na2ZnGa
1.0
4.753 -3.668 0.000
4.753 3.668 0.000
0.000 0.000 5.456
Na Zn Ga
4 2 2
Cartesian
1.711 1.108 1.364
1.711 -1.108 4.092
7.794 1.108 1.364
7.794 -1.108 4.092
4.753 0.000 0.000
4.753 0.000 2.728
4.753 2.171 1.364
4.753 -2.171 4.092
```